Starting from a DFT-relaxed cell (PBE, Alexandria), the powder diffraction line list of AcPr2Dy6 was calculated for CuKα.

Largest 8 diffraction maxima, by angle, 10 to 90 degrees two-theta:
- 2θ 27.3, intensity 34.4
- 2θ 28.3, intensity 86.7
- 2θ 28.6, intensity 55.3
- 2θ 30.8, intensity 94.3
- 2θ 31.3, intensity 100.0
- 2θ 31.9, intensity 71.6
- 2θ 34.6, intensity 78.0
- 2θ 34.9, intensity 58.3

```
data_AcPr2Dy6
_cell_length_a 6.557
_cell_length_b 6.557
_cell_length_c 8.899
_cell_angle_alpha 106.61
_cell_angle_beta 106.61
_cell_angle_gamma 62.53
_symmetry_space_group_name_H-M 'P 1'
_symmetry_Int_Tables_number 1
loop_
_symmetry_equiv_pos_as_xyz
'x,y,z'
loop_
_atom_site_label
_atom_site_type_symbol
_atom_site_fract_x
_atom_site_fract_y
_atom_site_fract_z
Ac1 Ac 0.000 0.000 0.000
Pr1 Pr 0.241 0.241 0.797
Pr2 Pr 0.759 0.759 0.203
Dy1 Dy 0.138 0.663 0.596
Dy2 Dy 0.328 0.328 0.234
Dy3 Dy 0.337 0.862 0.404
Dy4 Dy 0.663 0.138 0.596
Dy5 Dy 0.672 0.672 0.766
Dy6 Dy 0.862 0.337 0.404
```